The following is a theoretical powder diffractogram of Ca5Sb3. It was derived from a crystal structure in the Materials Project, relaxed with PBE, using Cu Kα X-rays.
Peak positions follow from Bragg's law for the DFT cell and can differ from measured ones.

```
data_Ca5Sb3
_space_group_name_H-M_alt 'P n m a'
_space_group_IT_number 62
_cell_length_a 12.6436
_cell_length_b 9.5886
_cell_length_c 8.3160
_cell_angle_alpha 90.00
_cell_angle_beta 90.00
_cell_angle_gamma 90.00
loop_
_space_group_symop_operation_xyz
'x,y,z'
'-x,-y,-z'
'-x+1/2,-y,z+1/2'
'x+1/2,y,-z+1/2'
'x+1/2,-y+1/2,-z+1/2'
'-x+1/2,y+1/2,z+1/2'
'-x,y+1/2,-z'
'x,-y+1/2,z'
loop_
_atom_site_label
_atom_site_fract_x
_atom_site_fract_y
_atom_site_fract_z
_atom_site_occupancy
Ca1 0.0047 0.2500 0.0356 1
Ca2 0.0781 0.0417 0.6916 1
Ca3 0.2071 0.7500 0.3463 1
Ca4 0.2276 0.2500 0.3191 1
Sb1 0.0154 0.7500 0.5768 1
Sb2 0.1710 0.5117 0.0617 1
```

Most intense lines, 2θ = 10–80°, by intensity:
two_theta, I (rel.)
30.22, 100
22.53, 92
23.67, 91
31.81, 90
29.30, 83
33.97, 59
37.52, 54
23.29, 41